Record 1
Starting from a structure optimized by DFT (PBE+U), the PXRD pattern of LiCr2P2O8 was computed for copper Kα.
Lines closer than 0.1° are merged.

Most intense lines, 10 to 90 degrees two-theta, low angle first:
two_theta	d (Å)	Rel. int.
20.7	4.285	74.8
24.3	3.659	38.5
24.8	3.587	100.0
34.1	2.630	77.8
34.5	2.603	56.6
35.6	2.522	73.8
38.9	2.318	26.6
50.9	1.793	39.9
56.1	1.639	31.7
62.7	1.481	33.6

Crystal structure
```
data_LiCr2P2O8
_symmetry_space_group_name_H-M 'P m c 21'
_symmetry_Int_Tables_number 26
_symmetry_space_group_name_Hall 'P 2c -2'
_cell_length_a 6.554
_cell_length_b 4.903
_cell_length_c 8.822
_cell_angle_alpha 90.00
_cell_angle_beta 90.00
_cell_angle_gamma 90.00
loop_
_atom_site_label
_atom_site_fract_x
_atom_site_fract_y
_atom_site_fract_z
_atom_site_occupancy
Li1 0.000 0.198 0.000 1
Cr1 0.259 0.255 0.339 1
P1 0.000 0.287 0.659 1
P2 0.500 0.224 0.017 1
O1 0.000 0.021 0.207 1
O2 0.000 0.317 0.477 1
O3 0.194 0.428 0.713 1
O4 0.303 0.081 0.961 1
O5 0.500 0.194 0.196 1
O6 0.500 0.475 0.460 1
```

Record 2
Starting from a structure optimized by DFT (PBE+U), the PXRD pattern of LiCrP2O7 was computed for copper Kα.
Lines closer than 0.1° are merged.

Most intense lines, 10 to 90 degrees two-theta, low angle first:
two_theta	d (Å)	Rel. int.
14.6	6.068	40.7
14.8	5.987	68.7
18.9	4.690	44.0
21.3	4.167	24.4
29.2	3.058	61.3
29.4	3.034	100.0
29.8	2.993	72.4
35.1	2.553	24.6
42.6	2.122	19.8
57.8	1.595	27.8

Crystal structure
```
data_LiCrP2O7
_symmetry_space_group_name_H-M 'P 1 21/m 1'
_symmetry_Int_Tables_number 11
_symmetry_space_group_name_Hall '-P 2yb'
_cell_length_a 6.680
_cell_length_b 8.334
_cell_length_c 9.145
_cell_angle_alpha 90.00
_cell_angle_beta 104.56
_cell_angle_gamma 90.00
loop_
_atom_site_label
_atom_site_fract_x
_atom_site_fract_y
_atom_site_fract_z
_atom_site_occupancy
Li1 0.239 0.078 0.252 1
Cr1 0.250 0.066 0.750 1
P1 0.001 0.250 0.945 1
P2 0.078 0.750 0.532 1
P3 0.420 0.750 0.970 1
P4 0.497 0.250 0.553 1
O1 0.018 0.095 0.854 1
O2 0.076 0.598 0.623 1
O3 0.113 0.250 0.610 1
O4 0.130 0.250 0.105 1
O5 0.241 0.750 0.055 1
O6 0.263 0.750 0.453 1
O7 0.364 0.250 0.394 1
O8 0.385 0.250 0.891 1
O9 0.419 0.599 0.878 1
O10 0.483 0.095 0.645 1
```

Record 3
Starting from a structure optimized by DFT (PBE+U), the PXRD pattern of LiCr2P5O16 was computed for copper Kα.
Lines closer than 0.1° are merged.

Most intense lines, 10 to 90 degrees two-theta, low angle first:
two_theta	d (Å)	Rel. int.
14.0	6.321	83.7
16.2	5.455	23.9
19.0	4.676	55.8
20.2	4.401	16.3
22.7	3.926	100.0
24.1	3.687	28.7
28.6	3.117	25.8
32.5	2.758	35.7
32.8	2.729	23.6
33.5	2.675	19.5

Crystal structure
```
data_LiCr2P5O16
_symmetry_space_group_name_H-M 'P 1 c 1'
_symmetry_Int_Tables_number 7
_symmetry_space_group_name_Hall 'P -2yc'
_cell_length_a 5.004
_cell_length_b 6.717
_cell_length_c 18.704
_cell_angle_alpha 90.00
_cell_angle_beta 90.37
_cell_angle_gamma 90.00
loop_
_atom_site_label
_atom_site_fract_x
_atom_site_fract_y
_atom_site_fract_z
_atom_site_occupancy
Li1 0.000 0.133 0.000 1
Cr1 0.017 0.318 0.566 1
Cr2 0.526 0.320 0.882 1
P1 0.013 0.035 0.843 1
P2 0.039 0.374 0.398 1
P3 0.279 0.247 0.724 1
P4 0.506 0.376 0.053 1
P5 0.532 0.033 0.605 1
O1 0.060 0.197 0.338 1
O2 0.084 0.090 0.762 1
O3 0.120 0.357 0.669 1
O4 0.200 0.136 0.897 1
O5 0.209 0.427 0.044 1
O6 0.321 0.119 0.556 1
O7 0.326 0.445 0.406 1
O8 0.426 0.366 0.780 1
O9 0.493 0.102 0.686 1
O10 0.496 0.201 0.114 1
O11 0.628 0.275 0.986 1
O12 0.680 0.462 0.585 1
O13 0.720 0.071 0.857 1
O14 0.822 0.062 0.584 1
O15 0.851 0.474 0.865 1
O16 0.934 0.271 0.466 1
```